1.
# Ni3OF5
Calculated powder X-ray diffraction pattern, a wavelength of 1.5418 Å. Input: a crystal structure in Alexandria, relaxed with PBE+U.
Kinematic intensities with the Lorentz-polarization factor, no thermal factor.

Structure:
abc: 9.0368 6.7219 7.2721
angles: 90.00 111.65 90.00
Space group C2/m (No. 12)
Symmetry-distinct sites (fractional):
Ni 0.0000 0.0000 0.0000 x2
Ni 0.0000 0.0000 0.5000 x2
Ni 0.1667 0.5000 0.1740 x4
Ni 0.1707 0.5000 0.6620 x4
O 0.2303 0.0000 0.5355 x4
F 0.0000 0.3041 0.5000 x4
F 0.0692 0.5000 0.8704 x4
F 0.1016 0.0000 0.7999 x4
F 0.1661 0.1973 0.1673 x8

Most intense lines, 2θ from 10° to 90°, most intense first:
| 2θ/deg | I (rel.) |
| --- | --- |
| 34.72 | 1000 |
| 26.52 | 875 |
| 27.09 | 864 |
| 52.30 | 590 |
| 52.94 | 539 |
| 66.90 | 508 |
| 38.27 | 170 |
| 54.61 | 169 |

***

2.
# Ni6OF11
Calculated powder X-ray diffraction pattern, a wavelength of 1.5418 Å. Input: a crystal structure in Alexandria, relaxed with PBE+U.
Kinematic intensities with the Lorentz-polarization factor, no thermal factor.

Structure:
abc: 4.7017 5.6336 7.7868
angles: 86.31 89.68 89.55
Space group P1 (No. 1)
Symmetry-distinct sites (fractional):
Ni 0.0000 0.0000 0.0000 x1
Ni 0.0007 0.6651 0.3310 x1
Ni 0.0114 0.3281 0.6630 x1
Ni 0.4939 0.1671 0.3383 x1
Ni 0.4960 0.8400 0.6643 x1
Ni 0.5038 0.4986 0.9976 x1
O 0.3058 0.1301 0.5651 x1
F 0.1963 0.2984 0.8991 x1
F 0.1978 0.9628 0.2313 x1
F 0.1991 0.6310 0.5633 x1
F 0.3051 0.4643 0.2302 x1
F 0.3053 0.7972 0.8980 x1
F 0.6951 0.2007 0.1036 x1
F 0.6986 0.5354 0.7627 x1
F 0.7019 0.8687 0.4334 x1
F 0.8037 0.0370 0.7676 x1
F 0.8054 0.7011 0.0988 x1
F 0.8056 0.3679 0.4335 x1

Most intense lines, 2θ from 10° to 90°, most intense first:
| 2θ/deg | I (rel.) |
| --- | --- |
| 34.63 | 1000 |
| 26.69 | 878 |
| 26.95 | 874 |
| 52.43 | 585 |
| 52.72 | 559 |
| 66.88 | 403 |
| 59.57 | 169 |
| 38.29 | 169 |

***

3.
# Ni6OF11
Calculated powder X-ray diffraction pattern, a wavelength of 1.5418 Å. Input: a crystal structure in Alexandria, relaxed with PBE+U.
Kinematic intensities with the Lorentz-polarization factor, no thermal factor.

Structure:
abc: 3.1042 20.0424 6.6195
angles: 90.00 90.00 90.00
Space group Amm2 (No. 38)
Symmetry-distinct sites (fractional):
Ni 0.0000 0.0000 0.0000 x2
Ni 0.0000 0.1672 0.4949 x4
Ni 0.5000 0.0000 0.4845 x2
Ni 0.5000 0.1665 0.9939 x4
O 0.0000 0.0000 0.2965 x2
F 0.0000 0.0000 0.6918 x2
F 0.0000 0.1660 0.1909 x4
F 0.0000 0.1675 0.7981 x4
F 0.5000 0.0659 0.9918 x4
F 0.5000 0.1018 0.4946 x4
F 0.5000 0.2325 0.4946 x4

Most intense lines, 2θ from 10° to 90°, most intense first:
| 2θ/deg | I (rel.) |
| --- | --- |
| 34.63 | 1000 |
| 26.69 | 875 |
| 26.94 | 873 |
| 52.42 | 585 |
| 52.71 | 560 |
| 66.87 | 403 |
| 59.56 | 169 |
| 38.28 | 169 |

***

4.
# NiO4F2
Calculated powder X-ray diffraction pattern, a wavelength of 1.5418 Å. Input: a crystal structure in Alexandria, relaxed with PBE+U.
Kinematic intensities with the Lorentz-polarization factor, no thermal factor.

Structure:
abc: 12.2390 5.8503 5.8620
angles: 90.00 90.00 90.00
Space group Pca2_1 (No. 29)
Symmetry-distinct sites (fractional):
Ni 0.2496 0.2284 0.0000 x4
O 0.0426 0.6783 0.4139 x4
O 0.0739 0.6611 0.2174 x4
O 0.1535 0.9376 0.8534 x4
O 0.1548 0.9424 0.6402 x4
F 0.1463 0.1786 0.2503 x4
F 0.1788 0.4059 0.7499 x4

Most intense lines, 2θ from 10° to 90°, most intense first:
| 2θ/deg | I (rel.) |
| --- | --- |
| 16.80 | 1000 |
| 14.47 | 753 |
| 26.64 | 571 |
| 35.04 | 306 |
| 42.74 | 294 |
| 40.94 | 237 |
| 54.84 | 173 |
| 51.06 | 169 |

***

5.
# Ni3OF5
Calculated powder X-ray diffraction pattern, a wavelength of 1.5418 Å. Input: a crystal structure in Alexandria, relaxed with PBE+U.
Kinematic intensities with the Lorentz-polarization factor, no thermal factor.

Structure:
abc: 9.2834 6.7104 6.5848
angles: 90.00 90.00 90.00
Space group Amm2 (No. 38)
Symmetry-distinct sites (fractional):
Ni 0.0000 0.0000 0.0000 x2
Ni 0.1669 0.0000 0.4820 x4
Ni 0.3296 0.0000 0.9991 x4
Ni 0.5000 0.0000 0.4982 x2
O 0.1665 0.0000 0.1871 x4
F 0.0000 0.1970 0.4898 x4
F 0.1653 0.0000 0.7901 x4
F 0.3334 0.1968 0.4946 x8
F 0.5000 0.0000 0.1933 x2
F 0.5000 0.0000 0.8036 x2

Most intense lines, 2θ from 10° to 90°, most intense first:
| 2θ/deg | I (rel.) |
| --- | --- |
| 34.71 | 1000 |
| 26.57 | 872 |
| 27.08 | 863 |
| 52.35 | 588 |
| 52.93 | 535 |
| 66.95 | 391 |
| 38.30 | 169 |
| 54.71 | 168 |

***

6.
# Ni3OF5
Calculated powder X-ray diffraction pattern, a wavelength of 1.5418 Å. Input: a crystal structure in Alexandria, relaxed with PBE+U.
Kinematic intensities with the Lorentz-polarization factor, no thermal factor.

Structure:
abc: 3.0940 4.6996 14.1163
angles: 90.00 90.00 90.00
Space group Pmn2_1 (No. 31)
Symmetry-distinct sites (fractional):
Ni 0.0000 0.2324 0.0000 x2
Ni 0.0000 0.2365 0.3394 x2
Ni 0.0000 0.2640 0.6707 x2
O 0.0000 0.9502 0.4378 x2
F 0.0000 0.5419 0.2377 x2
F 0.0000 0.5511 0.9015 x2
F 0.0000 0.5629 0.5685 x2
F 0.0000 0.9344 0.1050 x2
F 0.0000 0.9541 0.7705 x2

Most intense lines, 2θ from 10° to 90°, most intense first:
| 2θ/deg | I (rel.) |
| --- | --- |
| 26.81 | 1000 |
| 52.62 | 642 |
| 34.71 | 578 |
| 66.92 | 222 |
| 55.25 | 184 |
| 39.80 | 159 |
| 66.68 | 129 |
| 62.45 | 102 |